For Ba2YMgCu4O8, the GGA-PBE geometry in the Materials Project gives the calculated XRD peak list in this record (Cu Kα).
Neutral-atom scattering factors, no anomalous dispersion.

The 8 most intense peaks (2θ = 10–90°), in order of rising 2θ:
(hkl)  Position (°2θ)  Rel. int.
0 1 2  24.74  46
0 1 4  31.57  66
1 1 0  32.45  100
1 0 4  34.48  46
1 0 -5  34.71  44
0 1 5  35.91  46
0 2 0  44.94  40
2 0 -1  47.77  33

Cell and atoms:
```
data_Ba2YMgCu4O8
_cell_length_a 3.8077
_cell_length_b 4.0345
_cell_length_c 16.0322
_cell_angle_alpha 90.00
_cell_angle_beta 96.44
_cell_angle_gamma 90.00
_space_group_name_H-M_alt 'P 1'
_space_group_IT_number 1
loop_
_space_group_symop_operation_xyz
'x,y,z'
loop_
_atom_site_label
_atom_site_fract_x
_atom_site_fract_y
_atom_site_fract_z
_atom_site_occupancy
Ba1 0.0000 0.0000 0.0000 1
Ba2 0.2147 0.0000 0.4532 1
Y1 0.1006 0.0000 0.2221 1
Mg1 0.8935 0.5000 0.8288 1
Cu1 0.3361 0.5000 0.7039 1
Cu2 0.5523 0.5000 0.1203 1
Cu3 0.6465 0.5000 0.3168 1
Cu4 0.7762 0.5000 0.5797 1
O1 0.0462 0.5000 0.1080 1
O2 0.1363 0.5000 0.2953 1
O3 0.2753 0.5000 0.5779 1
O4 0.4227 0.5000 0.8887 1
O5 0.5517 0.0000 0.1194 1
O6 0.6397 0.0000 0.3038 1
O7 0.7187 0.5000 0.4602 1
O8 0.8384 0.5000 0.7085 1
```